This entry pairs a crystal structure of NaV2F8 with its theoretical XRD peak list. Radiation: Cu Ka. Structure: a DFT-relaxed cell (PBE+U, Alexandria).
Intensities are scaled so that the largest is 100.

Most intense lines, 2θ from 10° to 80°, low angle first:
d/Å  intensity  (hkl)
5.905  32  0 1 0
3.503  91  0 1 -1
3.362  53  0 2 1
3.304  100  1 1 1
3.281  22  1 1 0
3.077  17  0 0 2
2.952  41  0 2 2
1.981  36  2 0 0
1.752  44  0 2 4
1.682  19  0 4 2

Structural model:
```
11
Lattice="3.963 0.000 0.000 0.003 6.729 0.000 0.084 3.358 6.155" Properties=species:S:1:pos:R:3 pbc="T T T"
Na 0.000 0.000 0.000
V 1.018 3.363 2.055
V 3.032 6.724 4.100
F 1.014 3.377 3.860
F 1.052 6.725 4.099
F 1.014 1.814 1.096
F 1.014 4.896 1.071
F 3.036 5.191 5.084
F 3.036 8.273 5.059
F 2.998 3.362 2.056
F 3.036 6.710 2.294
```